[1]
The following is a computed XRD peak list of La3CrS6. It was derived from the PBE geometry in the Materials Project, using Cu Kα.

Lattice parameters (Å, degrees): 13.784 16.541 3.981 90.00 90.00 90.00
Space group Pnnm (No. 58)
Unique sites:
La (0.050, 0.215, 0.000) (multiplicity 4)
La (0.180, 0.648, 0.000) (multiplicity 4)
La (0.245, 0.903, 0.500) (multiplicity 4)
Cr (0.000, 0.000, 0.500) (multiplicity 2)
Cr (0.000, 0.500, 0.500) (multiplicity 2)
S (0.024, 0.407, 0.000) (multiplicity 4)
S (0.081, 0.930, 0.000) (multiplicity 4)
S (0.102, 0.755, 0.500) (multiplicity 4)
S (0.121, 0.101, 0.500) (multiplicity 4)
S (0.175, 0.521, 0.500) (multiplicity 4)
S (0.185, 0.290, 0.500) (multiplicity 4)

The 8 most intense peaks (10 to 90 degrees two-theta), sorted by position:
| 2theta | Rel. int. | h k l |
| --- | --- | --- |
| 25.1 | 55 | 2 4 0 |
| 25.7 | 32 | 1 2 1 |
| 26.4 | 63 | 4 1 0 |
| 30.6 | 31 | 2 3 1 |
| 33.9 | 100 | 3 3 1 |
| 35.3 | 47 | 0 5 1 |
| 40.2 | 44 | 5 1 1 |
| 45.6 | 46 | 0 0 2 |

[2]
The following is a computed XRD peak list of LaCrS3. It was derived from the PBE geometry in the Materials Project, using Cu Kα.

Lattice parameters (Å, degrees): 7.884 3.829 13.141 90.00 90.00 90.00
Space group Pnma (No. 62)
Unique sites:
La (0.087, 0.250, 0.172) (multiplicity 4)
Cr (0.162, 0.750, 0.448) (multiplicity 4)
S (0.011, 0.750, 0.604) (multiplicity 4)
S (0.163, 0.750, 0.005) (multiplicity 4)
S (0.196, 0.250, 0.787) (multiplicity 4)

The 8 most intense peaks (10 to 90 degrees two-theta), sorted by position:
| 2theta | Rel. int. | h k l |
| --- | --- | --- |
| 23.2 | 73 | 1 0 3 |
| 23.6 | 60 | 2 0 1 |
| 24.2 | 44 | 0 1 1 |
| 29.3 | 40 | 1 1 2 |
| 33.1 | 46 | 1 1 3 |
| 33.3 | 59 | 2 1 1 |
| 35.4 | 100 | 2 1 2 |
| 41.7 | 44 | 0 1 5 |

[3]
The following is a computed XRD peak list of La4CrS7. It was derived from the PBE geometry in the Materials Project, using Cu Kα.

Lattice parameters (Å, degrees): 10.421 6.471 10.436 90.00 119.71 90.00
Space group P2_1 (No. 4)
Unique sites:
La (0.002, 0.000, 0.499) (multiplicity 2)
La (0.137, 0.780, 0.898) (multiplicity 2)
La (0.261, 0.769, 0.364) (multiplicity 2)
La (0.397, 0.278, 0.759) (multiplicity 2)
Cr (0.334, 0.357, 0.167) (multiplicity 2)
S (0.090, 0.246, 0.754) (multiplicity 2)
S (0.105, 0.516, 0.091) (multiplicity 2)
S (0.165, 0.253, 0.410) (multiplicity 2)
S (0.253, 0.746, 0.665) (multiplicity 2)
S (0.334, 0.989, 0.170) (multiplicity 2)
S (0.406, 0.520, 0.014) (multiplicity 2)
S (0.490, 0.515, 0.394) (multiplicity 2)

The 8 most intense peaks (10 to 90 degrees two-theta), sorted by position:
| 2theta | Rel. int. | h k l |
| --- | --- | --- |
| 16.9 | 66 | 0 1 1 |
| 21.9 | 64 | 1 1 -2 |
| 24.0 | 100 | 0 1 2 |
| 26.1 | 89 | 3 0 -1 |
| 32.6 | 72 | 1 2 -2 |
| 34.1 | 93 | 2 2 0 |
| 38.3 | 66 | 2 2 -3 |
| 45.9 | 52 | 4 0 1 |